This entry pairs a crystal structure of AcAlTeO5 with its theoretical powder diffraction line list. Radiation: Cu Kα, 1.54184 Å. Structure: a GGA-PBE-relaxed structure.
Neutral-atom scattering factors, no anomalous dispersion.

Most intense lines, 2θ = 10–90°, low angle first:
Position (°2θ)	d/Å	I_rel	hkl
20.4	4.343	89	0 2 0
23.5	3.783	44	1 1 1
24.8	3.586	87	0 0 2
25.6	3.484	90	2 0 0
27.3	3.265	100	2 0 -2
32.4	2.765	72	0 2 2
33.0	2.717	61	2 2 0
33.9	2.647	55	1 3 -1
34.4	2.610	58	2 2 -2
43.0	2.101	43	2 0 2

Crystal structure
Cell: 7.6558 8.6861 7.8814 Å, 90.00 114.49 90.00°
Space group C2/c (No. 15)
Unique sites:
Ac: 0.0000 0.0588 0.2500
Al: 0.2500 0.2500 0.0000
Te: 0.0000 0.4833 0.2500
O: 0.0000 0.2285 0.7500
O: 0.0802 0.3228 0.1198
O: 0.2087 0.0473 0.0593